# CrBiSbO6
Calculated powder diffractogram, Cu Ka. Input: DFT lattice parameters and positions (PBE+U).
Lines closer than 0.1° are merged.

The 10 most intense peaks (2θ from 5° to 70°), sorted by position:
- 2θ 20.46, I 34
- 2θ 26.01, I 100
- 2θ 31.90, I 13
- 2θ 33.12, I 83
- 2θ 37.12, I 24
- 2θ 50.59, I 67
- 2θ 53.50, I 16
- 2θ 60.43, I 16
- 2θ 63.18, I 16
- 2θ 64.39, I 20

Crystal structure
a = 4.844 Å, b = 4.844 Å, c = 9.779 Å
α = 90.00°, β = 90.00°, γ = 90.00°
Space group P4_2nm (No. 102)
One atom of each set of equivalent atoms:
Cr (0.000, 0.000, 0.000)
Bi (0.000, 0.000, 0.669)
Sb (0.000, 0.000, 0.337)
O (0.175, 0.175, 0.170)
O (0.202, 0.202, 0.487)
O (0.204, 0.204, 0.849)